(1)
The following is a simulated XRD peak list of Pm6Y12Er. It was derived from a DFT-relaxed cell (PBE, Alexandria), using Cu Kα.
Neutral-atom scattering factors, no anomalous dispersion.

Crystal structure
a b c (Å): 8.7177 8.7177 8.7177
angles (deg): 79.69 79.69 79.69
Atoms (fractional coordinates):
Pm  0.2695  0.2695  0.6619
Pm  0.2695  0.6619  0.2695
Pm  0.3381  0.7305  0.7305
Pm  0.6619  0.2695  0.2695
Pm  0.7305  0.3381  0.7305
Pm  0.7305  0.7305  0.3381
Y  0.0134  0.3637  0.3637
Y  0.0151  0.0151  0.6957
Y  0.0151  0.6957  0.0151
Y  0.3043  0.9849  0.9849
Y  0.3637  0.0134  0.3637
Y  0.3637  0.3637  0.0134
Y  0.6363  0.6363  0.9866
Y  0.6363  0.9866  0.6363
Y  0.6957  0.0151  0.0151
Y  0.9849  0.3043  0.9849
Y  0.9849  0.9849  0.3043
Y  0.9866  0.6363  0.6363
Er  0.5000  0.5000  0.5000

Largest 8 diffraction maxima, by angle, 2θ = 10–80°:
2θ 27.66, d 3.225, I 17; 2θ 30.48, d 2.933, I 20; 2θ 31.66, d 2.826, I 100; 2θ 41.63, d 2.170, I 20; 2θ 48.92, d 1.862, I 19; 2θ 54.92, d 1.672, I 13; 2θ 58.74, d 1.572, I 12; 2θ 59.45, d 1.555, I 12

(2)
The following is a simulated XRD peak list of MgSb2Br. It was derived from a DFT-relaxed cell (PBE, Alexandria), using Cu Kα.
Neutral-atom scattering factors, no anomalous dispersion.

Crystal structure
a b c (Å): 5.1933 9.1990 5.2923
angles (deg): 90.00 90.00 90.00
Atoms (fractional coordinates):
Mg  0.0000  0.0000  0.0000
Mg  0.5000  0.5000  0.0000
Sb  0.0000  0.1698  0.5000
Sb  0.0000  0.8302  0.5000
Sb  0.5000  0.3302  0.5000
Sb  0.5000  0.6698  0.5000
Br  0.0000  0.5000  0.0000
Br  0.5000  0.0000  0.0000

Largest 8 diffraction maxima, by angle, 2θ = 10–80°:
2θ 16.75, d 5.292, I 33; 2θ 25.66, d 3.472, I 78; 2θ 25.91, d 3.438, I 81; 2θ 33.92, d 2.643, I 100; 2θ 34.54, d 2.597, I 39; 2θ 38.09, d 2.363, I 33; 2θ 43.52, d 2.079, I 37; 2θ 48.72, d 1.869, I 42